Starting from the GGA-PBE geometry in Alexandria, the PXRD pattern of Er5Ag2Pd12 was simulated for λ = 1.5418 Å (Cu Kα).
Kinematic intensities with the Lorentz-polarization factor, no thermal factor.

Peak list (8 most intense, 2θ from 10° to 90°, sorted by position)
2theta  d [Å]  I_rel  hkl
24.92  3.572  470  1 1 -2
35.92  2.500  750  6 0 0
36.72  2.447  417  5 1 -3
37.73  2.385  1000  2 2 -2
38.56  2.335  494  2 0 -4
40.61  2.222  590  4 2 -2
42.30  2.137  527  0 0 4
43.31  2.089  823  2 2 2

```
data_Er5Ag2Pd12
_space_group_name_H-M_alt 'C 1 2/m 1'
_space_group_IT_number 12
_cell_length_a 16.5868
_cell_length_b 5.5472
_cell_length_c 9.4533
_cell_angle_alpha 90.00
_cell_angle_beta 115.25
_cell_angle_gamma 90.00
loop_
_space_group_symop_operation_xyz
'x,y,z'
'-x,-y,-z'
'-x,y,-z'
'x,-y,z'
'x+1/2,y+1/2,z'
'-x+1/2,-y+1/2,-z'
'-x+1/2,y+1/2,-z'
'x+1/2,-y+1/2,z'
loop_
_atom_site_label
_atom_site_type_symbol
_atom_site_fract_x
_atom_site_fract_y
_atom_site_fract_z
Er1 Er 0.0000 0.0000 0.0000
Er2 Er 0.1534 0.5000 0.3719
Er3 Er 0.1834 0.5000 0.8731
Ag1 Ag 0.0000 0.2504 0.5000
Pd1 Pd 0.0115 0.5000 0.8651
Pd2 Pd 0.1080 0.0000 0.8110
Pd3 Pd 0.1573 0.2497 0.1082
Pd4 Pd 0.1873 0.2377 0.6285
```

***

Starting from the GGA-PBE geometry in Alexandria, the PXRD pattern of SrPa2As4 was simulated for λ = 1.5418 Å (Cu Kα).
Kinematic intensities with the Lorentz-polarization factor, no thermal factor.

Peak list (8 most intense, 2θ from 10° to 90°, sorted by position)
2theta  d [Å]  I_rel  hkl
14.29  6.196  220  1 0 1
24.88  3.579  695  1 1 2
32.25  2.776  914  3 1 0
32.36  2.767  369  1 0 3
38.41  2.343  1000  3 2 1
46.28  1.962  288  4 0 2
48.71  1.869  281  3 2 3
65.58  1.424  286  5 3 2

```
data_SrPa2As4
_space_group_name_H-M_alt 'I -4 2 d'
_space_group_IT_number 122
_space_group_name_Hall 'I -4 2bw'
_cell_length_a 8.7786
_cell_length_b 8.7786
_cell_length_c 8.7467
_cell_angle_alpha 90.00
_cell_angle_beta 90.00
_cell_angle_gamma 90.00
loop_
_atom_site_label
_atom_site_type_symbol
_atom_site_fract_x
_atom_site_fract_y
_atom_site_fract_z
Sr1 Sr 0.0000 0.0000 0.0000
Pa1 Pa 0.1354 0.2500 0.6250
As1 As 0.0810 0.1615 0.3120
```

***

Starting from the GGA-PBE geometry in Alexandria, the PXRD pattern of KGeCl5 was simulated for λ = 1.5418 Å (Cu Kα).
Kinematic intensities with the Lorentz-polarization factor, no thermal factor.

Peak list (8 most intense, 2θ from 10° to 90°, sorted by position)
2theta  d [Å]  I_rel  hkl
14.32  6.183  639  1 1 0
16.91  5.242  736  0 1 1
17.91  4.953  1000  0 2 0
18.22  4.870  787  1 0 1
22.47  3.957  533  2 0 0
25.65  3.473  554  1 2 1
34.21  2.621  566  0 2 2
37.05  2.426  336  3 0 1

```
data_KGeCl5
_space_group_name_H-M_alt 'I m m 2'
_space_group_IT_number 44
_cell_length_a 7.9141
_cell_length_b 9.9068
_cell_length_c 6.1781
_cell_angle_alpha 90.00
_cell_angle_beta 90.00
_cell_angle_gamma 90.00
loop_
_space_group_symop_operation_xyz
'x,y,z'
'-x,-y,z'
'-x,y,z'
'x,-y,z'
'x+1/2,y+1/2,z+1/2'
'-x+1/2,-y+1/2,z+1/2'
'-x+1/2,y+1/2,z+1/2'
'x+1/2,-y+1/2,z+1/2'
loop_
_atom_site_label
_atom_site_type_symbol
_atom_site_fract_x
_atom_site_fract_y
_atom_site_fract_z
K1 K 0.0000 0.0000 0.0000
Ge1 Ge 0.0000 0.5000 0.0235
Cl1 Cl 0.0000 0.3052 0.1998
Cl2 Cl 0.0000 0.5000 0.6705
Cl3 Cl 0.2056 0.0000 0.5294
```

***

Starting from the GGA-PBE geometry in Alexandria, the PXRD pattern of BeH6N2F4 was simulated for λ = 1.5418 Å (Cu Kα).
Kinematic intensities with the Lorentz-polarization factor, no thermal factor.

Peak list (8 most intense, 2θ from 10° to 90°, sorted by position)
2theta  d [Å]  I_rel  hkl
22.89  3.886  540  1 0 -2
23.16  3.841  686  0 2 0
23.44  3.795  930  1 0 2
25.69  3.467  501  1 1 -2
29.35  3.043  640  1 2 -1
34.54  2.596  1000  0 2 3
35.03  2.561  824  2 1 -1
38.63  2.331  825  2 1 2

```
data_BeH6N2F4
_space_group_name_H-M_alt 'P 1 21/c 1'
_space_group_IT_number 14
_cell_length_a 5.5889
_cell_length_b 7.6816
_cell_length_c 10.5738
_cell_angle_alpha 90.00
_cell_angle_beta 91.35
_cell_angle_gamma 90.00
loop_
_space_group_symop_operation_xyz
'x,y,z'
'-x,-y,-z'
'-x,y+1/2,-z+1/2'
'x,-y+1/2,z+1/2'
loop_
_atom_site_label
_atom_site_type_symbol
_atom_site_fract_x
_atom_site_fract_y
_atom_site_fract_z
Be1 Be 0.2194 0.2154 0.4193
H1 H 0.1017 0.6008 0.2435
H2 H 0.1643 0.6913 0.4614
H3 H 0.1965 0.6374 0.8562
H4 H 0.3524 0.5039 0.3106
H5 H 0.3822 0.6843 0.2119
H6 H 0.4479 0.7287 0.9178
N1 N 0.2693 0.7419 0.3865
N2 N 0.2767 0.6237 0.2806
F1 F 0.0001 0.1623 0.9232
F2 F 0.1551 0.0635 0.3229
F3 F 0.2972 0.1469 0.5514
F4 F 0.4410 0.1821 0.8631
```

***

Starting from the GGA-PBE geometry in Alexandria, the PXRD pattern of La3PmPr7 was simulated for λ = 1.5418 Å (Cu Kα).
Kinematic intensities with the Lorentz-polarization factor, no thermal factor.

Peak list (8 most intense, 2θ from 10° to 90°, sorted by position)
2theta  d [Å]  I_rel  hkl
29.81  2.997  935  4 0 0
29.86  2.992  794  2 0 -2
30.35  2.945  1000  1 3 1
32.26  2.775  686  2 0 2
36.15  2.485  659  3 3 -1
49.20  1.852  243  5 3 1
60.86  1.522  258  7 3 -1
61.74  1.503  387  4 6 0

```
data_La3PmPr7
_space_group_name_H-M_alt 'C 1 2/m 1'
_space_group_IT_number 12
_cell_length_a 12.0318
_cell_length_b 10.4234
_cell_length_c 6.5860
_cell_angle_alpha 90.00
_cell_angle_beta 95.13
_cell_angle_gamma 90.00
loop_
_space_group_symop_operation_xyz
'x,y,z'
'-x,-y,-z'
'-x,y,-z'
'x,-y,z'
'x+1/2,y+1/2,z'
'-x+1/2,-y+1/2,-z'
'-x+1/2,y+1/2,-z'
'x+1/2,-y+1/2,z'
loop_
_atom_site_label
_atom_site_type_symbol
_atom_site_fract_x
_atom_site_fract_y
_atom_site_fract_z
La1 La 0.0000 0.0000 0.0000
La2 La 0.0000 0.1739 0.5000
Pm1 Pm 0.0000 0.5000 0.0000
Pr1 Pr 0.0000 0.5000 0.5000
Pr2 Pr 0.2369 0.0000 0.7133
Pr3 Pr 0.2443 0.3267 0.7617
```

***

Starting from the GGA-PBE geometry in Alexandria, the PXRD pattern of CaBPt3 was simulated for λ = 1.5418 Å (Cu Kα).
Kinematic intensities with the Lorentz-polarization factor, no thermal factor.

Peak list (8 most intense, 2θ from 10° to 90°, sorted by position)
2theta  d [Å]  I_rel  hkl
18.32  4.843  353  1 0 0
30.63  2.919  402  0 0 2
35.92  2.500  306  1 0 2
37.13  2.421  1000  2 0 0
48.87  1.864  712  2 0 2
66.94  1.398  210  2 2 0
75.39  1.261  196  2 2 2
76.16  1.250  247  2 0 4

```
data_CaBPt3
_space_group_name_H-M_alt 'P 6/m m m'
_space_group_IT_number 191
_space_group_name_Hall '-P 6 2'
_cell_length_a 5.5919
_cell_length_b 5.5919
_cell_length_c 5.8378
_cell_angle_alpha 90.00
_cell_angle_beta 90.00
_cell_angle_gamma 120.00
loop_
_atom_site_label
_atom_site_type_symbol
_atom_site_fract_x
_atom_site_fract_y
_atom_site_fract_z
Ca1 Ca 0.0000 0.0000 0.0000
Ca2 Ca 0.0000 0.0000 0.5000
B1 B 0.3333 0.6667 0.0000
Pt1 Pt 0.0000 0.5000 0.2548
```